Entry 1:
Computed powder diffraction line list of Ti4GaFe for Cu Ka, from DFT lattice parameters and positions (GGA-PBE).

Main lines, by angle (10° ≤ 2θ ≤ 90°):
Position (°2θ)  I/Imax
21.17  31
35.70  34
40.48  65
41.20  100
43.00  45
43.10  57
43.23  26
44.00  45
65.55  23
75.62  33

Crystal structure
Lattice parameters (Å, degrees): 5.3002 5.1382 6.8750 90.00 90.00 90.00
Sites, in units of the cell vectors:
Ti 0.0000 0.2342 0.1263
Ti 0.0000 0.7658 0.8737
Ti 0.2500 0.3044 0.7500
Ti 0.2500 0.6956 0.2500
Ti 0.5000 0.2342 0.3737
Ti 0.5000 0.7658 0.6263
Ti 0.7500 0.3044 0.7500
Ti 0.7500 0.6956 0.2500
Ga 0.0000 0.0000 0.5000
Ga 0.5000 0.0000 0.0000
Fe 0.0000 0.5000 0.5000
Fe 0.5000 0.5000 0.0000

=====

Entry 2:
Computed powder diffraction line list of Tm2Ga2Fe15 for Cu Ka, from DFT lattice parameters and positions (GGA-PBE).

Main lines, by angle (10° ≤ 2θ ≤ 90°):
Position (°2θ)  I/Imax
30.38  21
31.29  14
37.33  32
38.17  19
43.41  100
43.62  19
44.13  20
48.86  12
79.59  13
79.98  12

Crystal structure
Lattice parameters (Å, degrees): 6.3590 6.3590 6.3590 82.02 82.02 82.02
Sites, in units of the cell vectors:
Tm 0.1532 0.1532 0.1532
Tm 0.8468 0.8468 0.8468
Ga 0.3979 0.3979 0.3979
Ga 0.6021 0.6021 0.6021
Fe 0.0000 0.5000 0.5000
Fe 0.1586 0.1586 0.6605
Fe 0.1586 0.6605 0.1586
Fe 0.1922 0.5000 0.8078
Fe 0.1922 0.8078 0.5000
Fe 0.3395 0.8414 0.8414
Fe 0.5000 0.0000 0.5000
Fe 0.5000 0.1922 0.8078
Fe 0.5000 0.5000 0.0000
Fe 0.5000 0.8078 0.1922
Fe 0.6605 0.1586 0.1586
Fe 0.8078 0.1922 0.5000
Fe 0.8078 0.5000 0.1922
Fe 0.8414 0.3395 0.8414
Fe 0.8414 0.8414 0.3395

=====

Entry 3:
Computed powder diffraction line list of TmGa8Fe4 for Cu Ka, from DFT lattice parameters and positions (GGA-PBE).

Main lines, by angle (10° ≤ 2θ ≤ 90°):
Position (°2θ)  I/Imax
29.00  14
32.65  10
35.46  15
35.77  34
41.29  36
41.60  100
46.52  23
67.83  14
75.78  14
75.97  17

Crystal structure
Lattice parameters (Å, degrees): 6.6345 6.6345 6.6345 98.37 98.37 135.13
Sites, in units of the cell vectors:
Tm 0.0000 0.0000 0.0000
Ga 0.0000 0.3384 0.3384
Ga 0.0000 0.6616 0.6616
Ga 0.2796 0.5000 0.7796
Ga 0.3384 0.0000 0.3384
Ga 0.5000 0.2796 0.7796
Ga 0.5000 0.7204 0.2204
Ga 0.6616 0.0000 0.6616
Ga 0.7204 0.5000 0.2204
Fe 0.0000 0.0000 0.5000
Fe 0.0000 0.5000 0.0000
Fe 0.5000 0.0000 0.0000
Fe 0.5000 0.5000 0.5000